Diffraction record for KLa2VO5. The powder diffraction line list is calculated, not measured: it uses a DFT-relaxed cell (PBE+U, Alexandria) and a wavelength of 1.5418 Å.

Atomic structure:
```
data_KLa2VO5
_chemical_formula_sum 'K2 La4 V2 O10'
_symmetry_space_group_name_H-M 'P 4/m b m'
_symmetry_Int_Tables_number 127
_symmetry_space_group_name_Hall '-P 4 2ab'
_cell_length_a 6.998
_cell_length_b 6.998
_cell_length_c 5.806
_cell_angle_alpha 90.00
_cell_angle_beta 90.00
_cell_angle_gamma 90.00
loop_
_atom_site_label
_atom_site_type_symbol
_atom_site_fract_x
_atom_site_fract_y
_atom_site_fract_z
_atom_site_occupancy
K1 K 0.000 0.000 0.000 1
La1 La 0.181 0.319 0.500 1
V1 V 0.000 0.500 0.000 1
O1 O 0.000 0.000 0.500 1
O2 O 0.129 0.629 0.239 1
```

Principal peaks in the range 2θ = 10–90°, low angle first:
15.26°, d 5.806, I 72.3, hkl 0 0 1
28.52°, d 3.129, I 34.1, hkl 2 1 0
29.81°, d 2.997, I 100.0, hkl 2 0 1
30.80°, d 2.903, I 36.0, hkl 0 0 2
32.50°, d 2.755, I 94.0, hkl 2 1 1
36.31°, d 2.474, I 22.8, hkl 2 2 0
42.47°, d 2.128, I 66.4, hkl 2 1 2
43.78°, d 2.068, I 20.0, hkl 3 1 1
56.49°, d 1.629, I 31.1, hkl 4 1 1
63.49°, d 1.465, I 22.5, hkl 4 1 2